Diffraction record for B4Ru. The powder diffraction line list is calculated, not measured: it uses DFT lattice parameters and positions (PBE) and Cu Kα (λ = 1.5418 Å).
Peak positions follow from Bragg's law for the DFT cell and can differ from measured ones.

Most intense lines, 10° ≤ 2θ ≤ 90°, sorted by position:
hkl  2theta  Rel. int.
1 0 0  21.96  100.0
1 1 0  31.25  80.8
2 0 0  44.78  24.1
2 1 0  50.41  41.2
2 1 1  55.61  30.5
3 0 0  69.69  19.0

Crystal structure
Lattice parameters (Å, degrees): 4.048 4.048 4.048 90.00 90.00 90.00
Space group Pm-3m (No. 221)
Asymmetric unit:
B: 0.000 0.000 0.000 x1
B: 0.000 0.500 0.500 x3
Ru: 0.500 0.500 0.500 x1

=====

Diffraction record for KH4N. The powder diffraction line list is calculated, not measured: it uses DFT lattice parameters and positions (PBE) and Cu Kα (λ = 1.5418 Å).
Peak positions follow from Bragg's law for the DFT cell and can differ from measured ones.

Most intense lines, 10° ≤ 2θ ≤ 90°, sorted by position:
hkl  2theta  Rel. int.
0 2 0  23.42  26.9
0 0 2  24.18  25.8
1 1 1  24.31  100.0
0 2 2  33.91  17.8
1 3 1  41.70  15.9
1 1 3  42.62  16.0

Crystal structure
Lattice parameters (Å, degrees): 5.074 7.598 7.362 90.00 90.06 90.00
Space group P2/c (No. 13)
Asymmetric unit:
K: 0.000 0.240 0.250 x2
H: 0.331 0.195 0.753 x4
H: 0.496 0.355 0.634 x4
N: 0.500 0.275 0.750 x2

=====

Diffraction record for Pm2In2Sn4Rh. The powder diffraction line list is calculated, not measured: it uses DFT lattice parameters and positions (PBE) and Cu Kα (λ = 1.5418 Å).
Peak positions follow from Bragg's law for the DFT cell and can differ from measured ones.

Most intense lines, 10° ≤ 2θ ≤ 90°, sorted by position:
hkl  2theta  Rel. int.
2 0 2  31.85  100.0
2 2 0  36.00  56.7
0 0 4  38.77  20.7
4 0 0  51.83  19.4
2 2 4  53.94  30.9
4 2 2  62.13  27.7

Crystal structure
Lattice parameters (Å, degrees): 7.056 7.056 9.291 90.00 90.00 90.00
Space group I4/mmm (No. 139)
Asymmetric unit:
Pm: 0.000 0.500 0.250 x4
In: 0.000 0.000 0.217 x4
Sn: 0.235 0.235 0.000 x8
Rh: 0.000 0.000 0.500 x2